Starting from a crystal structure in the Materials Project, relaxed with PBE+U, the powder diffraction line list of V2O3F3 was simulated for copper Kα.
No peak broadening, texture or thermal motion is included.

Largest 12 diffraction maxima, by angle, 2θ from 5° to 70°:
d_spacing, I_rel
3.777, 99.2
3.730, 99.4
3.676, 100.0
2.671, 12.4
2.645, 14.0
2.265, 15.4
1.889, 22.6
1.865, 20.5
1.838, 18.0
1.699, 12.2
1.691, 12.6
1.662, 15.2

Cell and atoms:
```
V2O3F3
1.0
5.186 0.000 0.000
2.556 4.529 0.000
0.158 0.298 13.245
V O F
6 9 9
Cartesian
0.000 0.000 0.000 V
2.741 4.564 6.607 V
2.671 1.757 4.507 V
3.052 1.829 10.959 V
5.056 3.022 2.111 V
5.526 3.085 8.853 V
1.296 2.134 9.840 O
1.330 1.228 5.381 O
3.186 3.110 5.378 O
3.849 3.436 1.024 O
3.842 2.815 9.834 O
4.270 1.990 3.188 O
4.323 1.417 11.991 O
6.462 4.167 1.014 O
6.927 3.631 7.604 O
1.709 2.684 3.175 F
2.363 3.275 12.018 F
1.745 0.667 12.017 F
4.352 4.352 7.642 F
4.934 4.565 3.180 F
3.278 0.253 9.848 F
3.879 0.492 5.327 F
4.944 1.731 7.563 F
5.818 1.594 1.013 F
```


Starting from a crystal structure in the Materials Project, relaxed with PBE+U, the powder diffraction line list of V2O3F was simulated for copper Kα.
No peak broadening, texture or thermal motion is included.

Largest 12 diffraction maxima, by angle, 2θ from 5° to 70°:
d_spacing, I_rel
3.385, 90.4
3.235, 100.0
2.545, 47.9
2.531, 44.4
2.254, 23.3
1.743, 40.3
1.704, 14.4
1.694, 30.5
1.691, 14.0
1.618, 17.9
1.511, 17.3
1.380, 14.4

Cell and atoms:
```
V2O3F
1.0
5.571 0.000 0.000
-2.315 5.091 0.000
-1.238 -2.718 9.334
V O F
8 12 4
Cartesian
0.000 0.000 0.000 V
-1.119 2.500 2.313 V
0.388 -0.217 4.887 V
-0.839 2.324 7.000 V
1.628 2.546 0.000 V
2.856 0.049 2.334 V
1.629 2.590 4.447 V
3.137 -0.127 7.021 V
-2.224 3.273 3.770 O
0.071 1.762 0.904 O
-0.828 0.594 7.961 O
0.251 -1.996 8.439 O
0.305 1.640 5.568 O
1.490 -0.930 6.118 O
0.528 3.302 3.216 O
1.713 0.733 3.766 O
1.767 4.369 0.895 O
2.845 1.778 1.373 O
1.947 0.611 8.430 O
4.242 -0.901 5.564 O
-1.046 0.711 3.297 F
-1.097 4.332 1.378 F
3.115 -1.959 7.956 F
3.063 1.661 6.037 F
```


Starting from a crystal structure in the Materials Project, relaxed with PBE+U, the powder diffraction line list of V3O4F2 was simulated for copper Kα.
No peak broadening, texture or thermal motion is included.

Largest 12 diffraction maxima, by angle, 2θ from 5° to 70°:
d_spacing, I_rel
3.295, 100.0
2.571, 53.2
2.251, 20.7
2.087, 4.4
1.798, 5.5
1.726, 54.3
1.648, 15.4
1.542, 10.8
1.396, 12.0
1.390, 6.9
1.385, 11.1
1.383, 4.5

Cell and atoms:
```
V3O4F2
1.0
3.083 0.000 0.000
0.000 4.670 0.000
0.000 0.000 13.951
V O F
6 8 4
Cartesian
0.000 0.905 0.000 V
0.000 1.173 9.385 V
0.000 1.418 4.851 V
1.542 3.252 11.826 V
1.542 3.497 2.410 V
1.542 3.765 6.976 V
0.000 2.434 12.648 O
0.000 2.588 3.397 O
0.000 4.360 1.509 O
0.000 4.648 6.062 O
1.542 0.022 13.037 O
1.542 0.310 8.484 O
1.542 2.082 10.373 O
1.542 2.236 5.672 O
0.000 2.701 7.957 F
0.000 4.304 10.827 F
1.542 0.366 3.851 F
1.542 1.969 0.981 F
```


Starting from a crystal structure in the Materials Project, relaxed with PBE+U, the powder diffraction line list of V6O5F19 was simulated for copper Kα.
No peak broadening, texture or thermal motion is included.

Largest 12 diffraction maxima, by angle, 2θ from 5° to 70°:
d_spacing, I_rel
4.847, 98.5
3.644, 100.0
3.555, 90.4
2.786, 15.6
2.423, 11.9
2.211, 13.8
1.966, 13.8
1.911, 13.9
1.822, 10.9
1.739, 11.4
1.729, 10.8
1.713, 9.3

Cell and atoms:
```
V6O5F19
1.0
5.397 0.000 0.000
0.159 5.571 0.000
0.079 2.782 14.541
V O F
6 5 19
Cartesian
0.000 0.000 0.000 V
0.082 2.787 4.839 V
0.278 5.154 9.732 V
2.742 2.509 0.176 V
2.824 5.295 5.015 V
3.052 2.568 9.788 V
1.485 1.491 0.437 O
1.570 4.270 5.263 O
4.246 3.851 14.297 O
4.254 3.859 4.579 O
4.690 3.881 9.455 O
0.108 2.658 6.600 F
0.195 5.425 1.760 F
0.927 5.587 8.146 F
0.971 2.789 13.010 F
0.979 2.766 3.310 F
1.720 7.138 10.124 F
1.895 4.214 10.113 F
1.932 1.357 5.306 F
2.015 4.149 0.449 F
2.785 2.819 8.057 F
2.873 5.484 12.960 F
2.883 5.506 3.260 F
3.626 2.676 11.459 F
3.646 2.572 1.705 F
3.723 5.344 6.545 F
4.312 6.545 9.441 F
4.664 1.213 4.560 F
4.826 6.779 14.246 F
5.504 5.504 11.451 F
```


Starting from a crystal structure in the Materials Project, relaxed with PBE+U, the powder diffraction line list of VOF3 was simulated for copper Kα.
No peak broadening, texture or thermal motion is included.

Largest 12 diffraction maxima, by angle, 2θ from 5° to 70°:
d_spacing, I_rel
4.718, 100.0
3.718, 63.1
3.692, 61.4
3.535, 50.7
3.513, 49.4
2.811, 19.0
2.417, 11.6
2.358, 21.7
2.164, 16.3
2.014, 15.5
1.899, 16.6
1.716, 11.4

Cell and atoms:
```
VOF3
1.0
5.463 0.000 0.000
-2.624 4.865 0.000
-0.319 -0.551 10.874
V O F
4 4 12
Cartesian
0.000 0.000 0.000 V
-0.096 -0.194 5.380 V
1.105 2.187 8.173 V
1.433 2.798 2.678 V
0.350 1.427 9.368 O
1.911 4.082 3.617 O
2.363 3.569 0.898 O
2.300 3.358 6.187 O
-1.457 3.818 10.049 F
-1.154 4.296 4.631 F
0.892 0.955 1.243 F
0.809 0.799 6.761 F
0.532 1.840 3.882 F
-0.015 3.357 1.830 F
-0.123 3.167 7.348 F
2.855 1.753 2.692 F
2.775 1.595 8.224 F
1.676 3.759 9.097 F
4.074 1.090 0.038 F
4.014 0.941 5.504 F
```


Starting from a crystal structure in the Materials Project, relaxed with PBE+U, the powder diffraction line list of VOF3 was simulated for copper Kα.
No peak broadening, texture or thermal motion is included.

Largest 12 diffraction maxima, by angle, 2θ from 5° to 70°:
d_spacing, I_rel
5.801, 67.0
4.978, 61.6
4.304, 61.2
4.272, 100.0
4.212, 93.3
3.985, 72.2
3.758, 70.0
3.131, 30.4
2.901, 39.8
2.641, 27.6
2.198, 33.5
1.963, 27.1

Cell and atoms:
```
VOF3
1.0
5.298 0.000 0.000
0.000 7.901 0.000
-3.111 0.000 8.544
V O F
4 4 12
Cartesian
0.573 1.387 0.411 V
-0.982 2.563 4.683 V
3.169 5.338 3.861 V
1.614 6.514 8.134 V
-2.402 0.474 7.598 O
-0.846 3.477 3.326 O
3.033 4.424 5.219 O
4.588 7.427 0.947 O
-2.102 5.768 7.940 F
-0.547 6.084 3.668 F
-0.051 1.129 4.324 F
1.504 2.822 0.052 F
1.524 0.749 1.745 F
-0.031 3.202 6.018 F
2.218 4.699 2.527 F
0.662 7.153 6.799 F
0.682 5.079 8.493 F
2.238 6.772 4.220 F
2.733 1.817 4.876 F
4.289 2.133 0.604 F
```


Starting from a crystal structure in the Materials Project, relaxed with PBE+U, the powder diffraction line list of V3O4F2 was simulated for copper Kα.
No peak broadening, texture or thermal motion is included.

Largest 12 diffraction maxima, by angle, 2θ from 5° to 70°:
d_spacing, I_rel
3.477, 96.8
3.210, 100.0
2.557, 93.4
2.290, 26.2
2.208, 20.1
1.774, 29.1
1.771, 28.2
1.698, 54.6
1.605, 16.8
1.521, 19.3
1.398, 20.9
1.396, 24.6

Cell and atoms:
```
V3O4F2
1.0
4.732 0.000 0.000
0.371 5.611 0.000
0.386 0.670 7.675
V O F
6 8 4
Cartesian
0.000 0.000 0.000 V
0.409 3.983 2.585 V
2.316 0.968 2.445 V
2.551 2.805 0.000 V
3.173 5.313 5.230 V
5.080 2.298 5.090 V
1.382 5.548 1.780 O
1.672 2.721 1.803 O
2.097 5.103 6.871 O
1.730 1.106 4.328 O
3.759 5.175 3.347 O
3.391 1.178 0.805 O
3.817 3.560 5.873 O
4.107 0.733 5.895 O
1.382 2.287 6.881 F
1.388 3.916 4.360 F
4.101 2.365 3.315 F
4.107 3.994 0.794 F
```


Starting from a crystal structure in the Materials Project, relaxed with PBE+U, the powder diffraction line list of V3O4F2 was simulated for copper Kα.
No peak broadening, texture or thermal motion is included.

Largest 12 diffraction maxima, by angle, 2θ from 5° to 70°:
d_spacing, I_rel
3.296, 100.0
2.568, 23.9
2.542, 24.6
2.238, 11.8
1.736, 14.1
1.724, 13.7
1.716, 14.0
1.711, 15.7
1.651, 9.1
1.645, 9.3
1.391, 9.9
1.379, 10.8

Cell and atoms:
```
V3O4F2
1.0
4.660 0.000 0.000
-0.016 5.545 0.000
-0.083 -0.588 7.708
V O F
6 8 4
Cartesian
0.000 0.000 0.000 V
-0.029 1.652 2.440 V
4.590 3.304 5.268 V
2.101 4.512 2.680 V
2.322 2.772 0.000 V
2.460 0.444 5.028 V
0.911 0.070 1.740 O
0.880 3.330 7.040 O
1.308 4.468 4.423 O
1.425 2.858 1.807 O
3.135 2.098 5.900 O
3.253 0.488 3.284 O
3.681 1.626 0.668 O
3.650 4.886 5.968 O
0.874 1.673 4.334 F
1.332 0.607 6.858 F
3.229 4.349 0.849 F
3.687 3.284 3.373 F
```